The following is a computed powder diffractogram of KCeFeMoO6. It was derived from a structure optimized by DFT (PBE+U), using Cu Kα X-rays.
Intensities are scaled so that the largest is 100.

```
KCeFeMoO6
1.0
5.9549 0.0000 0.0000
0.0000 6.3212 0.0000
-5.0729 0.0000 8.4005
K Ce Fe Mo O
2 2 2 2 12
direct
0.0000 0.2001 0.0000
0.0000 0.7999 0.5000
0.4484 0.2188 0.4381
0.4484 0.7812 0.9381
0.7727 0.3945 0.2445
0.7727 0.6055 0.7445
0.2248 0.3065 0.7497
0.2248 0.6935 0.2497
0.1449 0.0091 0.8104
0.1449 0.9909 0.3104
0.1528 0.4629 0.3885
0.1528 0.5371 0.8885
0.4777 0.4658 0.2737
0.4777 0.5342 0.7737
0.4924 0.1324 0.7033
0.4924 0.8676 0.2033
0.5305 0.1004 0.2313
0.5305 0.8996 0.7313
0.8267 0.3816 0.6072
0.8267 0.6184 0.1072
```

Principal peaks in the range 5° ≤ 2θ ≤ 70°, in order of falling intensity:
index  two_theta  Rel. int.
1 1 1  28.5  100
1 1 -3  30.8  83
0 1 1  17.6  42
1 0 0  17.4  36
1 2 -1  32.1  34
2 0 -2  30.2  33
1 0 -2  19.2  33
2 2 -2  41.8  29